Entry 1:
For Er6Tm19Sc4, a structure optimized by DFT (GGA-PBE) gives the calculated powder diffractogram in this record (λ = 1.5418 Å (Cu Kα)).

Crystal structure
```
Er6Tm19Sc4
1.0
-6.083 6.083 6.083
6.083 -6.083 6.083
6.083 6.083 -6.083
Er Tm Sc
6 19 4
Direct
0.130 0.630 0.500
0.370 0.500 0.870
0.500 0.130 0.630
0.500 0.870 0.370
0.630 0.500 0.130
0.870 0.370 0.500
0.000 0.000 0.000
0.000 0.261 0.261
0.000 0.739 0.739
0.016 0.806 0.341
0.194 0.210 0.535
0.210 0.535 0.194
0.261 0.000 0.261
0.261 0.261 0.000
0.325 0.790 0.984
0.341 0.016 0.806
0.465 0.675 0.659
0.535 0.194 0.210
0.659 0.465 0.675
0.675 0.659 0.465
0.739 0.000 0.739
0.739 0.739 0.000
0.790 0.984 0.325
0.806 0.341 0.016
0.984 0.325 0.790
0.000 0.000 0.646
0.000 0.646 0.000
0.354 0.354 0.354
0.646 0.000 0.000
```

The 12 most intense peaks (10° ≤ 2θ ≤ 90°), in order of falling intensity:
d (Å)  2θ/deg  I (rel.)
2.386  37.70  100
3.042  29.37  97
3.252  27.43  93
2.868  31.19  84
2.483  36.17  65
1.498  61.97  41
1.877  48.49  34
1.656  55.50  25
3.847  23.12  24
1.721  53.24  24
2.086  43.37  24
1.414  66.06  23

=====

Entry 2:
For Nd5Ag2Os, a structure optimized by DFT (GGA-PBE) gives the calculated powder diffractogram in this record (λ = 1.5418 Å (Cu Kα)).

Crystal structure
```
Nd5Ag2Os
1.0
7.852 0.000 0.000
0.000 12.099 0.000
0.000 0.000 4.813
Nd Ag Os
10 4 2
Direct
0.000 0.000 0.000
0.150 0.296 0.000
0.183 0.575 0.500
0.317 0.075 0.500
0.350 0.796 0.000
0.500 0.500 0.000
0.650 0.204 0.000
0.683 0.925 0.500
0.817 0.425 0.500
0.850 0.704 0.000
0.075 0.834 0.500
0.425 0.334 0.500
0.575 0.666 0.500
0.925 0.166 0.500
0.000 0.500 0.000
0.500 0.000 0.000
```

The 12 most intense peaks (10° ≤ 2θ ≤ 90°), in order of falling intensity:
d (Å)  2θ/deg  I (rel.)
2.718  32.96  100
2.950  30.29  98
2.406  37.38  77
2.561  35.04  63
2.823  31.70  49
1.830  49.82  42
3.396  26.24  33
2.876  31.09  32
1.442  64.62  25
1.475  63.04  25
2.813  31.81  25
2.146  42.10  21

=====

Entry 3:
For BaCeB12, a structure optimized by DFT (GGA-PBE) gives the calculated powder diffractogram in this record (λ = 1.5418 Å (Cu Kα)).

Crystal structure
```
BaCeB12
1.0
0.000 4.192 4.192
4.192 0.000 4.192
4.192 4.192 0.000
Ba Ce B
1 1 12
Direct
0.000 0.000 0.000
0.500 0.500 0.500
0.101 0.101 0.399
0.101 0.399 0.101
0.101 0.399 0.399
0.399 0.101 0.101
0.399 0.101 0.399
0.399 0.399 0.101
0.601 0.601 0.899
0.601 0.899 0.601
0.601 0.899 0.899
0.899 0.601 0.601
0.899 0.601 0.899
0.899 0.899 0.601
```

The 12 most intense peaks (10° ≤ 2θ ≤ 90°), in order of falling intensity:
d (Å)  2θ/deg  I (rel.)
2.964  30.15  100
4.192  21.19  62
1.875  48.56  49
2.420  37.14  42
1.397  66.96  28
1.712  53.54  26
2.096  43.16  21
1.326  71.11  20
1.120  86.95  17
1.264  75.16  13
1.482  62.68  10
1.163  83.06  8

=====

Entry 4:
For Sm6TlCd2, a structure optimized by DFT (GGA-PBE) gives the calculated powder diffractogram in this record (λ = 1.5418 Å (Cu Kα)).

Crystal structure
```
Sm6TlCd2
1.0
0.000 6.640 7.826
2.611 0.000 7.826
2.611 6.640 0.000
Sm Tl Cd
6 1 2
Direct
0.156 0.844 0.156
0.177 0.489 0.511
0.489 0.177 0.823
0.511 0.823 0.177
0.823 0.511 0.489
0.844 0.156 0.844
0.500 0.500 0.500
0.168 0.168 0.832
0.832 0.832 0.168
```

The 12 most intense peaks (10° ≤ 2θ ≤ 90°), in order of falling intensity:
d (Å)  2θ/deg  I (rel.)
2.835  31.56  100
2.610  34.36  41
1.547  59.79  32
1.688  54.35  21
1.846  49.38  15
2.213  40.77  11
1.417  65.90  11
1.100  88.98  9
1.370  68.48  9
1.185  81.13  7
1.124  86.59  5
1.305  72.42  5

=====

Entry 5:
For Sr3LaZnRuO8, a structure optimized by DFT (GGA-PBE) gives the calculated powder diffractogram in this record (λ = 1.5418 Å (Cu Kα)).

Crystal structure
```
Sr3LaZnRuO8
1.0
5.629 0.000 0.000
0.000 2.808 6.328
0.000 -2.808 6.328
Sr La Zn Ru O
3 1 1 1 8
Direct
0.000 0.000 0.000
0.000 0.285 0.285
0.500 0.787 0.787
0.500 0.501 0.501
0.500 0.143 0.143
0.000 0.645 0.645
0.000 0.481 0.481
0.000 0.803 0.803
0.246 0.399 0.883
0.246 0.883 0.399
0.500 0.323 0.323
0.500 0.975 0.975
0.754 0.399 0.883
0.754 0.883 0.399
```

The 12 most intense peaks (10° ≤ 2θ ≤ 90°), in order of falling intensity:
d (Å)  2θ/deg  I (rel.)
2.893  30.91  100
2.811  31.83  70
1.638  56.14  38
1.988  45.64  37
2.135  42.33  17
1.687  54.38  16
1.447  64.40  15
2.102  43.04  14
2.109  42.87  14
6.328  13.99  13
1.455  63.99  9
1.264  75.14  8